Record 1
Calculated powder XRD pattern of KHCS2N for Cu Kα, from a DFT-relaxed cell (GGA-PBE, Alexandria).
Intensities are scaled so that the largest is 100.

Main lines, most intense first (10° ≤ 2θ ≤ 90°):
hkl, two_theta, I/Imax
1 1 1, 16.7, 100.0
0 2 0, 26.0, 95.5
4 0 0, 27.0, 80.5
3 1 3, 34.5, 69.1
3 1 0, 24.0, 60.4
4 0 2, 31.6, 55.8
1 1 3, 28.5, 54.7
4 2 0, 37.8, 52.7

abc: 13.2287 6.8602 10.9421
angles: 90.00 90.00 90.00
Space group Pbcn (No. 60)
Unique sites:
K  0.1468  0.1942  0.0413 (multiplicity 8)
H  0.0268  0.4810  0.8714 (multiplicity 8)
C  0.0929  0.2868  0.6470 (multiplicity 8)
S  0.1113  0.2925  0.4906 (multiplicity 8)
S  0.1660  0.1524  0.7417 (multiplicity 8)
N  0.0150  0.3983  0.6897 (multiplicity 8)

=====

Record 2
Calculated powder XRD pattern of K2NaZn2H5C4O14 for Cu Kα, from a DFT-relaxed cell (GGA-PBE, Alexandria).
Intensities are scaled so that the largest is 100.

Main lines, most intense first (10° ≤ 2θ ≤ 90°):
hkl, two_theta, I/Imax
1 0 2, 29.7, 100.0
0 2 1, 17.8, 89.1
1 1 -1, 18.7, 66.3
1 3 -1, 29.3, 64.4
0 4 1, 32.9, 54.8
1 1 -4, 32.0, 47.0
2 0 -2, 34.4, 45.8
0 4 0, 31.8, 43.4

abc: 5.2228 11.2501 11.7034
angles: 90.00 113.83 90.00
Space group P2_1/c (No. 14)
Unique sites:
K  0.0359  0.1664  0.0796 (multiplicity 4)
Na  0.0000  0.0000  0.5000 (multiplicity 2)
Zn  0.3255  0.6060  0.7943 (multiplicity 4)
H  0.0520  0.6982  0.1756 (multiplicity 4)
H  0.3761  0.6692  0.2234 (multiplicity 4)
H  0.5000  0.0000  0.0000 (multiplicity 2)
C  0.2901  0.0718  0.8193 (multiplicity 4)
C  0.4245  0.1294  0.4349 (multiplicity 4)
O  0.0598  0.0599  0.8343 (multiplicity 4)
O  0.2090  0.1698  0.4491 (multiplicity 4)
O  0.2398  0.7130  0.2490 (multiplicity 4)
O  0.2949  0.1100  0.7159 (multiplicity 4)
O  0.3353  0.6186  0.9681 (multiplicity 4)
O  0.4114  0.0968  0.3259 (multiplicity 4)
O  0.4712  0.5442  0.5887 (multiplicity 4)